# 1
This entry pairs a crystal structure of UMnFe2O6 with its computed PXRD pattern. Radiation: copper Kα. Structure: a cell relaxed with PBE+U.
Intensities are scaled so that the largest is 100.

Largest 10 diffraction maxima, in order of falling intensity, 5° ≤ 2θ ≤ 70°:
Position (°2θ)  I (rel.)  (hkl)
30.77  100  1 0 -1
32.81  96  1 -1 0
22.48  81  1 0 1
19.69  73  1 0 0
18.18  49  0 0 1
31.21  48  1 1 2
32.97  46  2 1 1
22.28  43  1 1 0
19.91  38  1 1 1
50.12  35  -1 1 2

Crystal structure
```
data_UMnFe2O6
_cell_length_a 5.434
_cell_length_b 5.453
_cell_length_c 5.757
_cell_angle_alpha 62.67
_cell_angle_beta 62.69
_cell_angle_gamma 60.27
_symmetry_space_group_name_H-M 'P 1'
_symmetry_Int_Tables_number 1
_symmetry_space_group_name_Hall 'P 1'
loop_
_atom_site_label
_atom_site_type_symbol
_atom_site_fract_x
_atom_site_fract_y
_atom_site_fract_z
U1 U 0.000 0.000 0.000
Mn1 Mn 0.505 0.509 0.477
Fe1 Fe 0.295 0.318 0.092
Fe2 Fe 0.797 0.794 0.611
O1 O 0.104 0.391 0.797
O2 O 0.204 0.911 0.274
O3 O 0.393 0.722 0.786
O4 O 0.601 0.218 0.267
O5 O 0.733 0.091 0.780
O6 O 0.898 0.616 0.289
```

# 2
This entry pairs a crystal structure of Mn3V6Fe4O24 with its computed PXRD pattern. Radiation: copper Kα. Structure: a cell relaxed with PBE+U.
Intensities are scaled so that the largest is 100.

Largest 10 diffraction maxima, in order of falling intensity, 5° ≤ 2θ ≤ 70°:
Position (°2θ)  I (rel.)  (hkl)
28.59  100  0 2 1
27.89  71  0 1 -3
26.91  42  2 0 -1
28.52  30  1 -2 2
27.41  25  2 -1 0
54.40  23  -4 1 1
11.67  22  0 1 0
17.75  21  -1 1 1
18.74  20  1 -1 1
55.09  20  1 -3 5

Crystal structure
```
data_Mn3V6Fe4O24
_cell_length_a 6.792
_cell_length_b 8.299
_cell_length_c 9.981
_cell_angle_alpha 105.69
_cell_angle_beta 105.69
_cell_angle_gamma 102.65
_symmetry_space_group_name_H-M 'P -1'
_symmetry_Int_Tables_number 2
_symmetry_space_group_name_Hall '-P 1'
loop_
_atom_site_label
_atom_site_type_symbol
_atom_site_fract_x
_atom_site_fract_y
_atom_site_fract_z
Mn1 Mn 0.000 0.000 0.000
Mn2 Mn 0.285 0.800 0.296
V1 V 0.106 0.595 0.833
V2 V 0.219 0.158 0.768
V3 V 0.398 0.234 0.368
Fe1 Fe 0.045 0.708 0.519
Fe2 Fe 0.379 0.456 0.106
O1 O 0.013 0.217 0.660
O2 O 0.073 0.552 0.643
O3 O 0.129 0.527 0.151
O4 O 0.134 0.806 0.915
O5 O 0.179 0.940 0.685
O6 O 0.214 0.204 0.952
O7 O 0.236 0.291 0.466
O8 O 0.260 0.021 0.238
O9 O 0.334 0.538 0.925
O10 O 0.353 0.757 0.505
O11 O 0.439 0.369 0.267
O12 O 0.470 0.274 0.771
```

# 3
This entry pairs a crystal structure of Mn2VFeO4 with its computed PXRD pattern. Radiation: copper Kα. Structure: a cell relaxed with PBE+U.
Intensities are scaled so that the largest is 100.

Largest 9 diffraction maxima, in order of falling intensity, 5° ≤ 2θ ≤ 70°:
Position (°2θ)  I (rel.)  (hkl)
32.36  100  0 2 2
54.32  29  2 2 4
64.18  23  4 2 2
37.30  15  2 2 0
65.14  11  2 0 6
53.73  8  0 4 0
53.83  8  4 0 0
38.02  7  0 0 4
67.74  5  4 0 4

Crystal structure
```
data_Mn2VFeO4
_cell_length_a 6.812
_cell_length_b 6.824
_cell_length_c 9.468
_cell_angle_alpha 90.00
_cell_angle_beta 90.00
_cell_angle_gamma 90.00
_symmetry_space_group_name_H-M 'F m m 2'
_symmetry_Int_Tables_number 42
_symmetry_space_group_name_Hall 'F 2 -2'
loop_
_atom_site_label
_atom_site_type_symbol
_atom_site_fract_x
_atom_site_fract_y
_atom_site_fract_z
Mn1 Mn 0.250 0.250 0.000
V1 V 0.000 0.000 0.246
Fe1 Fe 0.000 0.000 0.756
O1 O 0.000 0.240 0.131
O2 O 0.238 0.000 0.367
```

# 4
This entry pairs a crystal structure of Mn3ZnFe8O16 with its computed PXRD pattern. Radiation: copper Kα. Structure: a cell relaxed with PBE+U.
Intensities are scaled so that the largest is 100.

Largest 10 diffraction maxima, in order of falling intensity, 5° ≤ 2θ ≤ 70°:
Position (°2θ)  I (rel.)  (hkl)
34.93  100  3 1 1
34.72  51  2 0 -4
61.36  45  6 2 -2
29.56  31  1 1 -3
56.11  27  3 3 1
42.48  20  2 2 2
18.00  19  0 0 2
29.69  15  0 2 0
36.46  14  2 2 -2
55.67  13  4 0 -6

Crystal structure
```
data_Mn3ZnFe8O16
_cell_length_a 10.472
_cell_length_b 6.023
_cell_length_c 10.489
_cell_angle_alpha 90.00
_cell_angle_beta 109.96
_cell_angle_gamma 90.00
_symmetry_space_group_name_H-M 'C 1 m 1'
_symmetry_Int_Tables_number 8
_symmetry_space_group_name_Hall 'C -2y'
loop_
_atom_site_label
_atom_site_type_symbol
_atom_site_fract_x
_atom_site_fract_y
_atom_site_fract_z
Mn1 Mn 0.000 0.000 0.000
Mn2 Mn 0.000 0.500 0.485
Mn3 Mn 0.133 0.500 0.874
Zn1 Zn 0.122 0.000 0.360
Fe1 Fe 0.060 0.500 0.180
Fe2 Fe 0.066 0.000 0.678
Fe3 Fe 0.311 0.248 0.180
Fe4 Fe 0.312 0.500 0.426
Fe5 Fe 0.315 0.000 0.933
Fe6 Fe 0.317 0.248 0.679
O1 O 0.191 0.273 0.294
O2 O 0.193 0.000 0.566
O3 O 0.194 0.500 0.082
O4 O 0.200 0.223 0.801
O5 O 0.207 0.000 0.071
O6 O 0.209 0.500 0.561
O7 O 0.418 0.500 0.293
O8 O 0.424 0.000 0.796
O9 O 0.428 0.000 0.277
O10 O 0.429 0.221 0.066
O11 O 0.433 0.276 0.559
O12 O 0.437 0.500 0.789
```

# 5
This entry pairs a crystal structure of MnZnFe4O8 with its computed PXRD pattern. Radiation: copper Kα. Structure: a cell relaxed with PBE+U.
Intensities are scaled so that the largest is 100.

Largest 10 diffraction maxima, in order of falling intensity, 5° ≤ 2θ ≤ 70°:
Position (°2θ)  I (rel.)  (hkl)
34.50  100  3 1 1
60.78  45  4 4 0
55.38  38  5 1 1
29.30  32  2 2 0
41.92  18  4 0 0
51.96  11  4 2 2
17.82  9  1 1 1
36.09  9  2 2 2
68.88  4  6 2 0
63.88  1  5 3 1

Crystal structure
```
data_MnZnFe4O8
_cell_length_a 8.621
_cell_length_b 8.621
_cell_length_c 8.621
_cell_angle_alpha 90.00
_cell_angle_beta 90.00
_cell_angle_gamma 90.00
_symmetry_space_group_name_H-M 'F -4 3 m'
_symmetry_Int_Tables_number 216
_symmetry_space_group_name_Hall 'F -4 2 3'
loop_
_atom_site_label
_atom_site_type_symbol
_atom_site_fract_x
_atom_site_fract_y
_atom_site_fract_z
Mn1 Mn 0.000 0.000 0.000
Zn1 Zn 0.250 0.250 0.750
Fe1 Fe 0.125 0.125 0.375
O1 O 0.114 0.114 0.614
O2 O 0.139 0.139 0.139
```

# 6
This entry pairs a crystal structure of MnZn2FeO4 with its computed PXRD pattern. Radiation: copper Kα. Structure: a cell relaxed with PBE+U.
Intensities are scaled so that the largest is 100.

Largest 10 diffraction maxima, in order of falling intensity, 5° ≤ 2θ ≤ 70°:
Position (°2θ)  I (rel.)  (hkl)
33.13  100  2 0 2
32.76  97  0 2 2
55.30  57  2 2 4
38.07  35  2 2 0
65.23  24  2 4 2
65.89  22  4 2 2
38.56  17  0 0 4
54.44  15  0 4 0
55.42  14  4 0 0
66.12  12  0 2 6

Crystal structure
```
data_MnZn2FeO4
_cell_length_a 6.632
_cell_length_b 6.742
_cell_length_c 9.340
_cell_angle_alpha 90.00
_cell_angle_beta 90.00
_cell_angle_gamma 90.00
_symmetry_space_group_name_H-M 'F m m 2'
_symmetry_Int_Tables_number 42
_symmetry_space_group_name_Hall 'F 2 -2'
loop_
_atom_site_label
_atom_site_type_symbol
_atom_site_fract_x
_atom_site_fract_y
_atom_site_fract_z
Mn1 Mn 0.000 0.000 0.000
Zn1 Zn 0.250 0.250 0.254
Fe1 Fe 0.000 0.000 0.513
O1 O 0.000 0.249 0.630
O2 O 0.245 0.000 0.371
```